This entry pairs a crystal structure of KS3Cl12 with its computed X-ray diffraction stick pattern. Radiation: CuKα. Structure: the GGA-PBE geometry in Alexandria.

Principal peaks in the range 2θ = 10–80°, by angle:
10.84°, I 100
11.92°, I 68
17.51°, I 36
18.51°, I 61
21.24°, I 25
26.97°, I 22
28.56°, I 25
31.40°, I 29
35.45°, I 20
36.30°, I 19
37.01°, I 29
37.18°, I 22

Structure:
Lattice parameters (Å, degrees): 10.1274 10.1274 44.5516 90.00 90.00 120.00
Space group R-3c (No. 167, hexagonal axes)
Asymmetric unit:
K1 0.0000 0.0000 0.0000 (multiplicity 6)
S1 0.0000 0.4149 0.2500 (multiplicity 18)
Cl1 0.0124 0.4383 0.1988 (multiplicity 36)
Cl2 0.0632 0.5304 0.5810 (multiplicity 36)

=====

This entry pairs a crystal structure of DyPa2AlN5 with its computed X-ray diffraction stick pattern. Radiation: CuKα. Structure: the GGA-PBE geometry in Alexandria.

Principal peaks in the range 2θ = 10–80°, by angle:
13.01°, I 30
16.37°, I 48
26.76°, I 45
27.98°, I 43
31.04°, I 100
31.53°, I 49
32.70°, I 62
33.08°, I 39
36.72°, I 72
45.70°, I 35
47.20°, I 38
57.02°, I 40

Structure:
Lattice parameters (Å, degrees): 3.4358 13.6095 10.8327 90.00 90.00 90.00
Space group Cmc2_1 (No. 36)
Asymmetric unit:
Dy1 0.0000 0.2149 0.0000 (multiplicity 4)
Pa1 0.0000 0.1249 0.2669 (multiplicity 4)
Pa2 0.0000 0.1365 0.7150 (multiplicity 4)
Al1 0.0000 0.4975 0.0055 (multiplicity 4)
N1 0.0000 0.0461 0.0672 (multiplicity 4)
N2 0.0000 0.2893 0.3433 (multiplicity 4)
N3 0.0000 0.2934 0.6604 (multiplicity 4)
N4 0.0000 0.3710 0.0798 (multiplicity 4)
N5 0.0000 0.4772 0.8269 (multiplicity 4)